For K2H6OsO6, the GGA-PBE geometry in OQMD gives the theoretical powder diffractogram in this record (Cu Kα (λ = 1.5418 Å)).
No peak broadening, texture or thermal motion is included.

Unit cell a=6.3834 b=6.3834 c=12.3548 alpha=90.00 beta=90.00 gamma=120.00
Space group R-3 (No. 148, hexagonal axes)
Symmetry-distinct sites (fractional):
K1 0.0000 0.0000 0.2102 [6 per cell]
H1 0.0049 0.5748 0.3079 [18 per cell]
Os1 0.0000 0.0000 0.5000 [3 per cell]
O1 0.0412 0.4670 0.2629 [18 per cell]

Top 10 peaks for 2θ from 15° to 90°, in order of falling intensity:
2theta, intensity
17.58, 100
35.59, 72
21.57, 67
27.95, 55
33.22, 44
43.96, 41
52.91, 32
54.57, 30
62.41, 23
49.47, 19